1.
For NdYFe2Si2, the PBE geometry in OQMD gives the computed powder XRD pattern in this record (Cu Kα, 1.54184 Å).
Neutral-atom scattering factors, no anomalous dispersion.

Cell and atoms:
Unit cell a=4.0482 b=4.0482 c=6.6917 alpha=90.00 beta=90.00 gamma=90.00
Space group P4mm (No. 99)
Inequivalent atoms, fractional coordinates:
Nd 0.0000 0.0000 0.0000
Y 0.5000 0.5000 0.3643
Fe 0.0000 0.5000 0.6704
Si 0.0000 0.0000 0.4996
Si 0.5000 0.5000 0.8423

Principal peaks in the range 2θ from 10° to 80°, by intensity:
2theta, I_rel
25.7, 100
41.5, 94
34.8, 88
34.1, 69
44.8, 68
57.9, 39
31.2, 34
52.4, 29
59.8, 27
77.7, 25



2.
For NaPrPO, the PBE geometry in OQMD gives the computed powder XRD pattern in this record (Cu Kα, 1.54184 Å).
Neutral-atom scattering factors, no anomalous dispersion.

Cell and atoms:
Unit cell a=3.8141 b=8.0188 c=6.0625 alpha=90.00 beta=90.00 gamma=90.00
Space group Pmc2_1 (No. 26)
Inequivalent atoms, fractional coordinates:
Na 0.0000 0.0891 0.0000
Pr 0.5000 0.3078 0.4068
P 0.5000 0.3348 0.8952
O 0.0000 0.1661 0.3658

Principal peaks in the range 2θ from 10° to 80°, by intensity:
2theta, I_rel
18.3, 100
29.8, 55
29.5, 52
51.5, 46
23.3, 41
22.2, 39
25.9, 35
41.2, 32
32.4, 32
37.9, 30



3.
For PrGd2Al7Ag2, the PBE geometry in OQMD gives the computed powder XRD pattern in this record (Cu Kα, 1.54184 Å).
Neutral-atom scattering factors, no anomalous dispersion.

Cell and atoms:
Unit cell a=5.6151 b=5.6151 c=26.5529 alpha=90.00 beta=90.00 gamma=120.00
Space group R-3m (No. 166, hexagonal axes)
Inequivalent atoms, fractional coordinates:
Pr 0.0000 0.0000 0.0000
Gd 0.0000 0.0000 0.1420
Al 0.0000 0.0000 0.5000
Al 0.0082 0.5041 0.9162
Ag 0.0000 0.0000 0.3359

Principal peaks in the range 2θ from 10° to 80°, by intensity:
2theta, I_rel
38.0, 100
31.9, 85
20.1, 36
29.9, 26
62.0, 25
60.9, 24
22.7, 20
32.7, 19
66.6, 17
56.8, 16



Which formula does entry 3 have?
PrGd2Al7Ag2